Starting from DFT lattice parameters and positions (GGA-PBE), the powder diffraction line list of MgTe4Mo2W2Se2S2 was calculated for λ = 1.5418 Å (Cu Kα).
Intensities are scaled so that the largest is 1000.

Crystal structure
```
13
Lattice="3.3974 0.0000 0.0000 -1.6987 2.9422 0.0000 0.0000 0.0000 46.0066" Properties=species:S:1:pos:R:3 pbc="T T T"
Mg 0.0000 0.0000 0.0000
Te 0.0000 1.9615 3.0945
Te 0.0000 1.9615 6.8813
Te 0.0000 1.9615 20.0033
Te 0.0000 1.9615 23.7800
Mo 0.0000 1.9615 13.2517
Mo 0.0000 1.9615 41.5584
W 1.6987 0.9807 4.9948
W 1.6987 0.9807 21.8921
Se 1.6987 0.9807 39.9152
Se 1.6987 0.9807 43.2302
S 1.6987 0.9807 11.7506
S 1.6987 0.9807 14.7539
```

Main lines, low angle first (10° ≤ 2θ ≤ 90°):
hkl, 2θ/deg, I (rel.)
0 0 6, 11.54, 561
1 0 0, 30.39, 605
1 0 5, 31.93, 356
1 0 8, 34.23, 897
1 0 11, 37.37, 668
1 0 13, 39.84, 1000
0 1 14, 41.19, 423
1 1 0, 53.98, 490
1 1 5, 54.97, 231
0 2 13, 69.14, 229